Entry 1:
The following is a calculated powder X-ray diffraction pattern of LiVP4O13. It was derived from DFT lattice parameters and positions (GGA+U), using Cu Kα (weighted mean of Kα1 and Kα2).

Cell and atoms:
```
LiVP4O13
1.0
5.063 0.000 0.000
1.163 7.792 0.000
1.156 1.390 14.250
Li V P O
2 2 8 26
Cartesian
0.000 0.000 0.000
3.220 1.510 7.300
1.142 3.740 3.332
6.187 5.424 10.768
2.562 8.131 9.710
2.170 6.723 2.874
3.642 6.886 12.194
3.654 3.929 9.364
3.655 5.166 4.831
3.677 2.306 1.893
5.148 2.455 11.341
4.743 1.081 4.385
1.401 7.396 4.130
0.863 2.056 4.163
1.362 5.438 2.557
2.572 5.779 11.850
2.265 4.578 9.491
2.348 7.644 1.739
3.373 7.599 13.455
3.235 8.222 8.406
3.591 7.880 10.906
2.274 2.950 1.988
2.602 4.053 4.400
3.377 5.792 6.129
3.525 6.227 3.558
3.769 2.967 10.706
3.862 3.129 8.140
5.037 6.229 12.051
3.722 1.308 3.183
4.741 5.029 9.659
4.078 1.122 5.694
3.976 1.574 0.645
5.004 1.528 12.472
5.059 4.551 4.631
4.742 3.410 2.242
5.970 3.747 11.600
6.492 7.088 9.889
5.845 1.779 10.049
```

Top 6 peaks for 2θ from 10° to 90°, most intense first:
2θ (°)  d/Å  intensity
12.4  7.125  100
27.0  3.297  14
19.7  4.498  12
17.7  5.009  11
28.4  3.146  11
25.8  3.455  10

---

Entry 2:
The following is a calculated powder X-ray diffraction pattern of CsVOF4. It was derived from DFT lattice parameters and positions (GGA+U), using Cu Kα (weighted mean of Kα1 and Kα2).

Cell and atoms:
```
CsVOF4
1.0
5.654 0.000 0.000
0.000 6.475 0.000
0.000 0.000 14.914
Cs V O F
4 4 4 16
Cartesian
0.184 1.619 1.908
2.643 4.856 9.365
3.011 1.619 5.549
5.470 4.856 13.006
0.060 4.856 5.355
2.766 1.619 12.812
2.887 4.856 2.102
5.593 1.619 9.559
1.055 1.619 8.395
1.772 4.856 0.938
3.882 1.619 13.976
4.598 4.856 6.519
0.301 0.184 5.034
0.301 3.054 5.034
1.006 1.619 11.072
1.207 1.619 13.776
1.620 4.856 6.319
1.821 4.856 3.615
2.526 3.421 12.491
2.526 6.291 12.491
3.128 0.184 2.423
3.128 3.054 2.423
3.833 1.619 11.299
4.033 1.619 8.596
4.447 4.856 1.139
4.648 4.856 3.842
5.353 3.421 9.880
5.353 6.291 9.880
```

Top 6 peaks for 2θ from 10° to 90°, most intense first:
2θ (°)  d/Å  intensity
24.1  3.698  100
23.9  3.729  30
27.6  3.237  25
46.7  1.946  20
36.8  2.445  20
42.1  2.147  19

---

Entry 3:
The following is a calculated powder X-ray diffraction pattern of KMnO2. It was derived from DFT lattice parameters and positions (GGA+U), using Cu Kα (weighted mean of Kα1 and Kα2).

Cell and atoms:
```
KMnO2
1.0
12.974 0.000 0.000
0.000 3.230 0.000
-5.281 0.000 6.642
K Mn O
4 4 8
Cartesian
1.221 0.000 1.247
-0.015 1.615 5.395
7.708 1.615 1.247
6.472 0.000 5.395
-3.249 0.000 4.566
4.455 1.615 2.076
3.237 1.615 4.566
10.942 0.000 2.076
-3.809 1.615 5.568
-1.443 0.000 3.897
2.649 1.615 2.744
5.014 0.000 1.073
2.678 0.000 5.568
5.044 1.615 3.897
9.136 0.000 2.744
11.501 1.615 1.073
```

Top 6 peaks for 2θ from 10° to 90°, most intense first:
2θ (°)  d/Å  intensity
29.0  3.078  100
28.8  3.101  78
17.5  5.077  70
42.5  2.127  60
26.8  3.321  58
43.7  2.071  47

---

Entry 4:
The following is a calculated powder X-ray diffraction pattern of LiCr6O11. It was derived from DFT lattice parameters and positions (GGA+U), using Cu Kα (weighted mean of Kα1 and Kα2).

Cell and atoms:
```
LiCr6O11
1.0
5.821 0.000 0.000
-2.911 5.041 0.000
0.000 0.000 12.937
Li Cr O
2 12 22
Cartesian
0.000 3.361 0.000
2.911 1.680 6.469
0.000 0.000 1.223
0.000 0.000 4.987
0.000 0.000 7.692
0.000 0.000 11.456
-1.450 2.523 3.105
0.000 3.361 6.340
1.450 2.523 3.105
0.000 5.036 3.105
2.911 0.006 9.574
1.460 2.518 9.574
2.911 1.680 12.808
4.361 2.518 9.574
0.000 1.536 6.338
-1.580 4.273 6.338
0.000 1.755 10.588
-1.390 4.164 10.588
0.000 1.762 2.081
-1.385 4.160 2.081
1.330 0.768 12.806
0.000 3.361 4.237
0.000 3.361 8.444
1.520 0.878 4.119
1.526 0.881 8.550
1.385 4.160 2.081
1.390 4.164 10.588
2.911 1.680 1.975
2.911 1.680 10.706
1.580 4.273 6.338
4.296 0.881 8.550
2.911 3.280 8.550
4.301 0.878 4.119
2.911 3.286 4.119
4.491 0.768 12.806
2.911 3.505 12.806
```

Top 6 peaks for 2θ from 10° to 90°, most intense first:
2θ (°)  d/Å  intensity
32.9  2.722  100
56.1  1.639  89
33.8  2.654  60
38.3  2.349  60
13.7  6.469  55
64.0  1.455  54

---

Entry 5:
The following is a calculated powder X-ray diffraction pattern of NaVP2O8. It was derived from DFT lattice parameters and positions (GGA+U), using Cu Kα (weighted mean of Kα1 and Kα2).

Cell and atoms:
```
NaVP2O8
1.0
8.220 0.000 0.000
0.000 8.220 0.000
0.000 0.000 10.157
Na V P O
4 4 8 32
Cartesian
1.379 1.379 0.000
2.732 5.489 5.079
5.489 2.732 5.079
6.842 6.842 0.000
0.000 4.110 2.243
0.000 4.110 7.321
4.110 0.000 2.243
4.110 0.000 7.321
1.029 7.191 7.533
1.103 7.117 2.502
3.007 3.007 7.581
3.081 3.081 2.455
5.139 5.139 2.455
5.213 5.213 7.581
7.117 1.103 2.502
7.191 1.029 7.533
0.000 0.000 2.013
0.000 0.000 6.834
0.000 4.110 3.842
0.000 4.110 8.920
0.614 5.848 1.735
0.659 5.830 6.875
0.968 7.252 9.019
1.245 6.976 3.968
1.720 3.451 1.797
1.738 3.496 6.813
2.372 7.606 1.735
2.390 7.561 6.875
2.865 2.865 9.047
3.142 3.142 3.940
3.451 1.720 1.797
3.496 1.738 6.813
4.110 0.000 3.842
4.110 0.000 8.920
4.110 4.110 1.756
4.110 4.110 7.091
4.724 6.483 6.813
4.769 6.500 1.797
5.078 5.078 3.940
5.355 5.355 9.047
5.830 0.659 6.875
5.848 0.614 1.735
6.483 4.724 6.813
6.500 4.769 1.797
6.976 1.245 3.968
7.252 0.968 9.019
7.561 2.390 6.875
7.606 2.372 1.735
```

Top 6 peaks for 2θ from 10° to 90°, most intense first:
2θ (°)  d/Å  intensity
17.5  5.079  100
30.0  2.978  51
24.2  3.676  49
34.5  2.599  29
27.9  3.195  24
21.6  4.110  18

---

Entry 6:
The following is a calculated powder X-ray diffraction pattern of ZnCrF6. It was derived from DFT lattice parameters and positions (GGA+U), using Cu Kα (weighted mean of Kα1 and Kα2).

Cell and atoms:
```
ZnCrF6
1.0
2.588 1.494 4.534
-2.588 1.494 4.534
0.000 -2.989 4.534
Zn Cr F
1 1 6
Cartesian
0.000 0.000 0.000
0.000 0.000 6.801
-0.559 -1.410 5.722
-1.501 -0.221 7.880
-0.942 1.189 5.722
0.942 -1.189 7.880
1.501 0.221 5.722
0.559 1.410 7.880
```

Top 6 peaks for 2θ from 10° to 90°, most intense first:
2θ (°)  d/Å  intensity
23.8  3.743  100
53.8  1.705  26
33.1  2.709  21
48.7  1.871  19
40.1  2.248  17
55.9  1.644  13

---

Entry 7:
The following is a calculated powder X-ray diffraction pattern of Mn6O5F7. It was derived from DFT lattice parameters and positions (GGA+U), using Cu Kα (weighted mean of Kα1 and Kα2).

Cell and atoms:
```
Mn6O5F7
1.0
4.677 0.000 0.000
-0.166 5.744 0.000
-0.168 -0.013 15.673
Mn O F
12 10 14
Cartesian
0.000 0.000 0.000
-0.215 5.650 5.200
-0.256 5.666 10.439
-0.073 3.894 2.534
1.980 2.896 10.254
2.138 1.171 2.476
2.055 1.160 12.861
2.117 1.130 7.693
2.123 2.972 4.931
2.047 2.817 15.519
4.405 3.987 7.871
4.404 3.830 12.909
0.678 4.233 9.546
0.770 4.181 4.241
0.668 5.470 12.111
0.736 5.495 6.968
0.831 5.502 1.708
1.027 2.540 11.911
1.166 2.588 1.487
3.036 2.705 8.597
3.061 2.615 13.803
3.185 2.658 3.329
0.726 4.176 14.707
0.946 1.356 9.349
1.012 1.328 4.233
0.922 1.344 14.629
1.010 2.637 6.670
3.214 1.316 5.943
3.311 1.304 0.708
3.164 4.156 11.274
3.266 1.275 11.104
3.225 5.589 3.464
3.141 5.538 13.885
3.213 5.607 8.802
3.308 4.159 6.178
3.440 4.124 0.839
```

Top 6 peaks for 2θ from 10° to 90°, most intense first:
2θ (°)  d/Å  intensity
24.2  3.678  100
29.6  3.019  96
24.9  3.576  92
30.2  2.963  92
30.4  2.939  87
29.8  2.996  85

---

Entry 8:
The following is a calculated powder X-ray diffraction pattern of Li4Co3O7. It was derived from DFT lattice parameters and positions (GGA+U), using Cu Kα (weighted mean of Kα1 and Kα2).

Cell and atoms:
```
Li4Co3O7
1.0
2.986 0.000 0.000
1.278 4.908 0.000
0.517 1.356 16.916
Li Co O
8 6 14
Cartesian
0.000 0.000 0.000
0.258 0.678 8.458
1.510 3.904 4.845
1.704 2.814 9.668
1.913 1.853 14.504
2.868 4.410 2.412
3.077 3.450 7.248
3.271 2.359 12.071
1.779 4.567 13.274
1.418 2.193 1.225
1.659 1.186 6.140
3.123 5.078 10.776
3.363 4.070 15.691
3.002 1.696 3.642
1.818 5.335 15.024
1.616 4.862 6.596
1.317 2.980 2.995
1.802 3.831 11.541
1.927 2.778 16.371
1.662 2.015 7.674
3.084 5.769 12.590
1.697 0.495 4.326
3.120 4.248 9.242
2.855 3.486 0.545
2.980 2.432 5.375
3.465 3.284 13.921
3.165 1.402 10.320
2.963 0.928 1.892
```

Top 6 peaks for 2θ from 10° to 90°, most intense first:
2θ (°)  d/Å  intensity
18.5  4.803  100
41.8  2.161  33
44.2  2.048  28
45.3  2.000  24
34.8  2.581  20
36.4  2.466  13